1.
For PaSe3, the GGA-PBE geometry in the Materials Project gives the computed powder diffractogram in this record (Cu Ka).

Peak list (10 most intense, 2θ = 10–80°, low angle first)
- 2θ = 16.71°, I 177, hkl 1 0 0
- 2θ = 23.80°, I 276, hkl 1 0 1
- 2θ = 33.78°, I 229, hkl 2 0 0
- 2θ = 34.03°, I 303, hkl 0 0 2
- 2θ = 37.97°, I 1000, hkl 2 0 1
- 2θ = 48.71°, I 164, hkl 2 0 2
- 2θ = 60.43°, I 168, hkl 2 2 0
- 2θ = 63.53°, I 223, hkl 2 0 3
- 2θ = 71.21°, I 208, hkl 2 2 2
- 2θ = 73.63°, I 141, hkl 4 0 1

abc: 6.1272 6.1272 5.2688
angles: 90.00 90.00 120.00
Space group P6_3/mmc (No. 194)
Unique sites:
Pa: 0.3333 0.6667 0.2500 [2 per cell]
Se: 0.1754 0.3507 0.7500 [6 per cell]

2.
For PaSi3, the GGA-PBE geometry in the Materials Project gives the computed powder diffractogram in this record (Cu Ka).

Peak list (10 most intense, 2θ = 10–80°, low angle first)
- 2θ = 17.32°, I 277, hkl 1 0 0
- 2θ = 26.33°, I 1000, hkl 1 0 1
- 2θ = 30.24°, I 457, hkl 1 1 0
- 2θ = 35.06°, I 176, hkl 2 0 0
- 2θ = 39.95°, I 173, hkl 0 0 2
- 2θ = 40.52°, I 717, hkl 2 0 1
- 2θ = 50.91°, I 226, hkl 1 1 2
- 2θ = 51.39°, I 271, hkl 2 1 1
- 2θ = 69.40°, I 166, hkl 3 1 1
- 2θ = 77.16°, I 138, hkl 2 2 2

abc: 5.9104 5.9104 4.5135
angles: 90.00 90.00 120.00
Space group P6_3/mmc (No. 194)
Unique sites:
Pa: 0.3333 0.6667 0.2500 [2 per cell]
Si: 0.1439 0.2877 0.7500 [6 per cell]

3.
For PaSi3, the GGA-PBE geometry in the Materials Project gives the computed powder diffractogram in this record (Cu Ka).

Peak list (10 most intense, 2θ = 10–80°, low angle first)
- 2θ = 21.60°, I 1000, hkl 1 0 0
- 2θ = 30.74°, I 859, hkl 1 1 0
- 2θ = 37.88°, I 829, hkl 1 1 1
- 2θ = 44.03°, I 407, hkl 2 0 0
- 2θ = 49.55°, I 480, hkl 2 1 0
- 2θ = 54.65°, I 361, hkl 2 1 1
- 2θ = 64.02°, I 272, hkl 2 2 0
- 2θ = 68.42°, I 234, hkl 3 0 0
- 2θ = 72.69°, I 158, hkl 3 1 0
- 2θ = 76.86°, I 326, hkl 3 1 1

abc: 4.113 4.113 4.113
angles: 90.00 90.00 90.00
Space group Pm-3m (No. 221)
Unique sites:
Pa: 0.000 0.000 0.000 [1 per cell]
Si: 0.000 0.500 0.500 [3 per cell]